Simulated XRD peak list of Mg4Bi4Pd5 for copper Kα, from a crystal structure in OQMD, relaxed with PBE.

Structural model:
Lattice parameters (Å, degrees): 15.2636 15.2636 15.2636 17.49 17.49 17.49
Fractional positions:
1 Mg 0.0000 0.0000 0.0000
2 Mg 0.2454 0.2454 0.2454
3 Mg 0.4986 0.4986 0.4986
4 Mg 0.7491 0.7491 0.7491
5 Bi 0.1228 0.1228 0.1228
6 Bi 0.3752 0.3752 0.3752
7 Bi 0.6205 0.6205 0.6205
8 Bi 0.8718 0.8718 0.8718
9 Pd 0.1850 0.1850 0.1850
10 Pd 0.3114 0.3114 0.3114
11 Pd 0.4372 0.4372 0.4372
12 Pd 0.6848 0.6848 0.6848
13 Pd 0.9341 0.9341 0.9341

The 10 most intense peaks (15 to 90 degrees two-theta), sorted by position:
2θ 23.50, I 100; 2θ 23.68, I 32; 2θ 38.82, I 96; 2θ 39.04, I 92; 2θ 45.88, I 18; 2θ 45.98, I 35; 2θ 46.18, I 17; 2θ 56.23, I 32; 2θ 70.27, I 17; 2θ 70.43, I 33